1.
This entry pairs a crystal structure of K4CO4 with its calculated powder X-ray diffraction pattern. Radiation: λ = 1.5418 Å (Cu Kα). Structure: a structure optimized by DFT (GGA-PBE).

The 6 most intense peaks (2θ = 5–70°), sorted by position:
two_theta, I/Imax, (hkl)
28.8, 80, 0 2 1
33.0, 100, 2 0 2
40.9, 38, 1 2 2
46.7, 29, 0 2 4
48.1, 30, 2 2 0
56.4, 27, 2 2 3

Structure:
Lattice parameters (Å, degrees): 7.5680 7.5680 9.6631 90.00 90.00 120.00
Space group R3m (No. 160, hexagonal axes)
Unique sites:
K (0.0000, 0.0000, 0.0000) x3
K (0.1853, 0.3706, 0.3804) x9
C (0.0000, 0.0000, 0.2734) x3
O (0.0000, 0.0000, 0.4234) x3
O (0.2088, 0.1044, 0.2237) x9

2.
This entry pairs a crystal structure of K4C2O3 with its calculated powder X-ray diffraction pattern. Radiation: λ = 1.5418 Å (Cu Kα). Structure: a structure optimized by DFT (GGA-PBE).

The 6 most intense peaks (2θ = 5–70°), sorted by position:
two_theta, I/Imax, (hkl)
29.6, 52, 0 1 -2
32.1, 63, 1 1 0
32.9, 55, 0 1 2
33.1, 79, 1 0 2
33.3, 100, 1 -2 0
33.8, 76, 2 -1 0

Structure:
Lattice parameters (Å, degrees): 5.313 5.398 7.188 93.73 93.89 116.77
Space group P1 (No. 1)
Unique sites:
K (0.000, 0.000, 0.000) x1
K (0.005, 0.006, 0.487) x1
K (0.342, 0.660, 0.276) x1
K (0.691, 0.371, 0.742) x1
C (0.302, 0.698, 0.726) x1
C (0.702, 0.300, 0.238) x1
O (0.454, 0.205, 0.304) x1
O (0.565, 0.807, 0.686) x1
O (0.790, 0.542, 0.170) x1